For Li4MnW3O12, a crystal structure in Alexandria, relaxed with GGA+U gives the theoretical powder X-ray diffraction pattern in this record (Cu Ka).

Peak list (8 most intense, 10 to 80 degrees two-theta, by angle)
d_spacing	Rel. int.	hkl
3.809	51	1 -1 0
3.788	100	0 0 2
2.776	19	0 2 0
2.760	40	1 1 -2
2.618	14	-1 1 2
2.603	27	2 0 0
2.154	16	2 0 -2
1.737	21	2 -2 2

Cell lengths 5.213, 5.570, 7.593 Å; angles 94.71, 90.36, 90.22 degrees
Positions (direct):
Li1 0.000 0.000 0.000
Li2 0.009 0.009 0.446
Li3 0.501 0.549 0.991
Li4 0.516 0.683 0.373
Mn1 0.008 0.592 0.179
W1 0.000 0.577 0.678
W2 0.506 0.090 0.692
W3 0.516 0.118 0.194
O1 0.134 0.642 0.905
O2 0.196 0.302 0.614
O3 0.209 0.943 0.234
O4 0.303 0.820 0.610
O5 0.352 0.422 0.229
O6 0.377 0.121 0.921
O7 0.629 0.106 0.440
O8 0.683 0.818 0.122
O9 0.697 0.409 0.742
O10 0.797 0.916 0.744
O11 0.804 0.279 0.105
O12 0.883 0.641 0.452